# Si3Os
Calculated XRD peak list, Cu Kα X-rays. Input: a cell relaxed with PBE.
Peak positions follow from Bragg's law for the DFT cell and can differ from measured ones.

Top 10 peaks for 2θ = 15–90°, sorted by position:
| d_spacing | I/Imax |
| --- | --- |
| 3.470 | 100.0 |
| 3.143 | 19.5 |
| 2.943 | 33.1 |
| 2.148 | 81.9 |
| 2.081 | 37.2 |
| 1.872 | 18.6 |
| 1.785 | 32.2 |
| 1.735 | 14.7 |
| 1.254 | 14.6 |
| 1.214 | 26.5 |

Lattice parameters (Å, degrees): 4.3059 4.3059 4.3059 122.19 122.19 86.24
Fractional coordinates of all 4 atoms:
Si 0.0000 0.0000 0.0000
Si 0.2500 0.7500 0.5000
Si 0.7500 0.2500 0.5000
Os 0.5000 0.5000 0.0000